Structure and simulated X-ray diffraction stick pattern of Sm2Mn3Sb4S12 (a PBE-relaxed structure; Cu Kα (λ = 1.5418 Å)).

```
data_Sm2Mn3Sb4S12
_chemical_formula_sum 'Sm4 Mn6 Sb8 S24'
_symmetry_space_group_name_H-M 'C 1 2/m 1'
_symmetry_Int_Tables_number 12
_symmetry_space_group_name_Hall '-C 2y'
_cell_length_a 19.9689
_cell_length_b 3.8690
_cell_length_c 14.8916
_cell_angle_alpha 90.00
_cell_angle_beta 126.51
_cell_angle_gamma 90.00
loop_
_atom_site_label
_atom_site_type_symbol
_atom_site_fract_x
_atom_site_fract_y
_atom_site_fract_z
Sm1 Sm 0.2408 0.0000 0.1373
Mn1 Mn 0.0000 0.0000 0.0000
Mn2 Mn 0.1984 0.0000 0.3782
Sb1 Sb 0.0408 0.5000 0.8163
Sb2 Sb 0.1066 0.0000 0.5483
S1 S 0.0573 0.0000 0.1976
S2 S 0.0902 0.5000 0.6527
S3 S 0.1020 0.5000 0.0233
S4 S 0.1583 0.5000 0.4538
S5 S 0.1704 0.0000 0.8980
S6 S 0.2423 0.5000 0.2903
```

Main lines, in order of rising 2θ (10° ≤ 2θ ≤ 90°):
hkl	Position (°2θ)	I (rel.)
2 0 -4	24.81	37
1 1 -2	26.17	55
4 0 1	27.32	49
5 1 -3	32.75	38
5 1 -1	33.49	100
5 1 -4	34.94	47
1 1 -5	41.82	39
0 2 0	46.97	34

Structure and simulated X-ray diffraction stick pattern of Sc10Mn17S32 (a PBE-relaxed structure; Cu Kα (λ = 1.5418 Å)).

```
data_Sc10Mn17S32
_chemical_formula_sum 'Sc10 Mn17 S32'
_symmetry_space_group_name_H-M 'P 1'
_symmetry_Int_Tables_number 1
_symmetry_space_group_name_Hall 'P 1'
_cell_length_a 7.3476
_cell_length_b 7.3947
_cell_length_c 24.0936
_cell_angle_alpha 82.46
_cell_angle_beta 82.34
_cell_angle_gamma 61.21
loop_
_atom_site_label
_atom_site_type_symbol
_atom_site_fract_x
_atom_site_fract_y
_atom_site_fract_z
Sc1 Sc 0.0000 0.0000 0.0000
Sc2 Sc 0.9997 0.4723 0.4997
Sc3 Sc 0.1178 0.6403 0.1208
Sc4 Sc 0.2460 0.7222 0.7473
Sc5 Sc 0.3684 0.8756 0.3720
Sc6 Sc 0.3706 0.8845 0.8714
Sc7 Sc 0.6060 0.1370 0.1188
Sc8 Sc 0.6178 0.1252 0.6206
Sc9 Sc 0.7500 0.2242 0.2523
Sc10 Sc 0.8640 0.3860 0.8697
Mn1 Mn 0.1013 0.1516 0.7032
Mn2 Mn 0.1070 0.1225 0.1170
Mn3 Mn 0.1127 0.6377 0.6196
Mn4 Mn 0.1807 0.7731 0.2547
Mn5 Mn 0.2383 0.2580 0.2521
Mn6 Mn 0.3559 0.3751 0.3684
Mn7 Mn 0.3692 0.3490 0.9600
Mn8 Mn 0.4376 0.0184 0.5025
Mn9 Mn 0.4886 0.5084 0.5008
Mn10 Mn 0.6038 0.6476 0.2037
Mn11 Mn 0.6070 0.6253 0.6172
Mn12 Mn 0.6825 0.2732 0.7505
Mn13 Mn 0.7384 0.7604 0.7499
Mn14 Mn 0.8499 0.9017 0.4535
Mn15 Mn 0.8600 0.8667 0.8699
Mn16 Mn 0.8616 0.3877 0.3705
Mn17 Mn 0.9107 0.5420 0.0041
S1 S 0.0335 0.5776 0.8068
S2 S 0.0483 0.0618 0.3142
S3 S 0.0611 0.0615 0.8041
S4 S 0.0649 0.5414 0.3113
S5 S 0.1611 0.7081 0.9317
S6 S 0.1697 0.1978 0.9332
S7 S 0.1707 0.1836 0.4342
S8 S 0.2034 0.6606 0.4348
S9 S 0.2864 0.3326 0.0600
S10 S 0.2857 0.8310 0.0644
S11 S 0.2990 0.3114 0.5618
S12 S 0.3162 0.7912 0.5603
S13 S 0.3805 0.9937 0.1830
S14 S 0.4198 0.4337 0.6820
S15 S 0.4365 0.4443 0.1861
S16 S 0.4538 0.9101 0.6830
S17 S 0.5304 0.0785 0.3110
S18 S 0.5470 0.5652 0.8098
S19 S 0.5504 0.5721 0.3051
S20 S 0.5668 0.0467 0.8083
S21 S 0.6398 0.2496 0.4307
S22 S 0.6773 0.6871 0.9306
S23 S 0.6815 0.7014 0.4354
S24 S 0.7171 0.1674 0.9280
S25 S 0.7798 0.3306 0.5599
S26 S 0.8014 0.8208 0.5542
S27 S 0.8041 0.8230 0.0618
S28 S 0.8098 0.3050 0.0615
S29 S 0.8890 0.4983 0.6797
S30 S 0.9124 0.9371 0.1862
S31 S 0.9319 0.9531 0.6837
S32 S 0.9552 0.4063 0.1852
```

Main lines, in order of rising 2θ (10° ≤ 2θ ≤ 90°):
hkl	Position (°2θ)	I (rel.)
1 0 7	28.72	23
2 2 -4	34.37	100
2 0 6	34.50	46
2 -2 0	48.52	20
0 2 -10	49.29	39
2 0 -10	49.47	19
4 2 2	49.65	19
2 2 12	50.52	21

Structure and simulated X-ray diffraction stick pattern of Mn2SeS (a PBE-relaxed structure; Cu Kα (λ = 1.5418 Å)).

```
data_Mn2SeS
_chemical_formula_sum 'Mn6 Se3 S3'
_symmetry_space_group_name_H-M 'R -3 m'
_symmetry_Int_Tables_number 166
_symmetry_space_group_name_Hall '-R 3 2"'
_cell_length_a 3.4430
_cell_length_b 3.4430
_cell_length_c 16.5283
_cell_angle_alpha 90.00
_cell_angle_beta 90.00
_cell_angle_gamma 120.00
loop_
_atom_site_label
_atom_site_type_symbol
_atom_site_fract_x
_atom_site_fract_y
_atom_site_fract_z
Mn1 Mn 0.0000 0.0000 0.2219
Se1 Se 0.0000 0.0000 0.0000
S1 S 0.0000 0.0000 0.5000
```

Main lines, in order of rising 2θ (10° ≤ 2θ ≤ 90°):
hkl	Position (°2θ)	I (rel.)
1 0 1	30.46	19
1 0 4	37.19	100
0 1 5	40.75	35
0 0 9	49.64	9
1 1 0	53.21	43
0 1 8	54.00	14
0 2 4	66.70	16
1 1 9	75.73	14

Structure and simulated X-ray diffraction stick pattern of Mn2SiS4 (a PBE-relaxed structure; Cu Kα (λ = 1.5418 Å)).

```
data_Mn2SiS4
_chemical_formula_sum 'Mn8 Si4 S16'
_symmetry_space_group_name_H-M 'P n m a'
_symmetry_Int_Tables_number 62
_symmetry_space_group_name_Hall '-P 2ac 2n'
_cell_length_a 12.7402
_cell_length_b 7.4560
_cell_length_c 5.9430
_cell_angle_alpha 90.00
_cell_angle_beta 90.00
_cell_angle_gamma 90.00
loop_
_atom_site_label
_atom_site_type_symbol
_atom_site_fract_x
_atom_site_fract_y
_atom_site_fract_z
Mn1 Mn 0.0000 0.0000 0.0000
Mn2 Mn 0.2315 0.2500 0.4921
Si1 Si 0.0900 0.7500 0.4081
S1 S 0.0653 0.2500 0.7372
S2 S 0.0926 0.7500 0.7655
S3 S 0.1669 0.5240 0.2538
```

Main lines, in order of rising 2θ (10° ≤ 2θ ≤ 90°):
hkl	Position (°2θ)	I (rel.)
1 1 1	20.35	51
3 0 1	25.78	40
3 1 1	28.47	50
1 2 1	29.13	63
2 2 1	31.62	67
2 2 2	41.36	100
4 0 2	41.56	40
6 2 0	49.39	58

Structure and simulated X-ray diffraction stick pattern of Y6MnSi2S14 (a PBE-relaxed structure; Cu Kα (λ = 1.5418 Å)).

```
data_Y6MnSi2S14
_chemical_formula_sum 'Y6 Mn1 Si2 S14'
_symmetry_space_group_name_H-M 'P 3'
_symmetry_Int_Tables_number 143
_symmetry_space_group_name_Hall 'P 3'
_cell_length_a 9.9373
_cell_length_b 9.9373
_cell_length_c 5.6105
_cell_angle_alpha 90.00
_cell_angle_beta 90.00
_cell_angle_gamma 120.00
loop_
_atom_site_label
_atom_site_type_symbol
_atom_site_fract_x
_atom_site_fract_y
_atom_site_fract_z
Y1 Y 0.0227 0.4559 0.0000
Y2 Y 0.3113 0.2114 0.4997
Mn1 Mn 0.6667 0.3333 0.2380
Si1 Si 0.0000 0.0000 0.0845
Si2 Si 0.3333 0.6667 0.5831
S1 S 0.0000 0.0000 0.7125
S2 S 0.0780 0.2250 0.2365
S3 S 0.1862 0.7446 0.7352
S4 S 0.3333 0.6667 0.2112
S5 S 0.4194 0.2498 0.9950
S6 S 0.5046 0.0858 0.4799
```

Main lines, in order of rising 2θ (10° ≤ 2θ ≤ 90°):
hkl	Position (°2θ)	I (rel.)
1 1 1	23.92	51
0 2 1	26.10	100
3 0 1	35.14	41
2 2 0	36.16	50
3 1 0	37.69	80
2 0 2	38.30	64
4 -1 1	41.10	69
3 -2 2	42.56	46

Structure and simulated X-ray diffraction stick pattern of Sm4MnS7 (a PBE-relaxed structure; Cu Kα (λ = 1.5418 Å)).

```
data_Sm4MnS7
_chemical_formula_sum 'Sm8 Mn2 S14'
_symmetry_space_group_name_H-M 'P 63'
_symmetry_Int_Tables_number 173
_symmetry_space_group_name_Hall 'P 6c'
_cell_length_a 9.8204
_cell_length_b 9.8204
_cell_length_c 6.8474
_cell_angle_alpha 90.00
_cell_angle_beta 90.00
_cell_angle_gamma 120.00
loop_
_atom_site_label
_atom_site_type_symbol
_atom_site_fract_x
_atom_site_fract_y
_atom_site_fract_z
Sm1 Sm 0.1548 0.3783 0.0000
Sm2 Sm 0.3333 0.6667 0.4515
Mn1 Mn 0.0000 0.0000 0.3250
S1 S 0.0745 0.5634 0.2367
S2 S 0.1059 0.2384 0.6032
S3 S 0.3333 0.6667 0.8356
```

Main lines, in order of rising 2θ (10° ≤ 2θ ≤ 90°):
hkl	Position (°2θ)	I (rel.)
2 0 1	24.64	100
0 0 2	26.03	18
2 0 2	33.61	37
3 0 1	34.23	20
2 2 0	36.60	36
1 2 2	38.41	15
2 0 3	45.08	30
2 2 2	45.46	15

Structure and simulated X-ray diffraction stick pattern of Mn2SnS4 (a PBE-relaxed structure; Cu Kα (λ = 1.5418 Å)).

```
data_Mn2SnS4
_chemical_formula_sum 'Mn2 Sn1 S4'
_symmetry_space_group_name_H-M 'P 1 2/m 1'
_symmetry_Int_Tables_number 10
_symmetry_space_group_name_Hall '-P 2y'
_cell_length_a 6.1906
_cell_length_b 3.6337
_cell_length_c 6.7935
_cell_angle_alpha 90.00
_cell_angle_beta 106.69
_cell_angle_gamma 90.00
loop_
_atom_site_label
_atom_site_type_symbol
_atom_site_fract_x
_atom_site_fract_y
_atom_site_fract_z
Mn1 Mn 0.0000 0.0000 0.0000
Mn2 Mn 0.5000 0.5000 0.0000
Sn1 Sn 0.0000 0.5000 0.5000
S1 S 0.2251 0.5000 0.1987
S2 S 0.2581 0.0000 0.7845
```

Main lines, in order of rising 2θ (10° ≤ 2θ ≤ 90°):
hkl	Position (°2θ)	I (rel.)
1 0 0	14.94	47
1 0 -1	17.10	30
0 1 1	28.13	17
1 1 1	33.86	100
2 0 -2	34.59	48
1 1 -3	47.42	32
0 2 0	50.22	16
3 1 -1	50.89	31

Structure and simulated X-ray diffraction stick pattern of Mn2SnS4 (a PBE-relaxed structure; Cu Kα (λ = 1.5418 Å)).

```
data_Mn2SnS4
_chemical_formula_sum 'Mn4 Sn2 S8'
_symmetry_space_group_name_H-M 'C m m m'
_symmetry_Int_Tables_number 65
_symmetry_space_group_name_Hall '-C 2 2'
_cell_length_a 7.3528
_cell_length_b 10.4142
_cell_length_c 3.6796
_cell_angle_alpha 90.00
_cell_angle_beta 90.00
_cell_angle_gamma 90.00
loop_
_atom_site_label
_atom_site_type_symbol
_atom_site_fract_x
_atom_site_fract_y
_atom_site_fract_z
Mn1 Mn 0.2500 0.2500 0.0000
Sn1 Sn 0.0000 0.0000 0.5000
S1 S 0.0000 0.2478 0.5000
S2 S 0.2491 0.0000 0.0000
```

Main lines, in order of rising 2θ (10° ≤ 2θ ≤ 90°):
hkl	Position (°2θ)	I (rel.)
1 1 0	14.75	58
1 1 1	28.44	36
2 0 1	34.47	100
3 1 0	37.68	17
4 0 0	49.55	67
1 5 1	51.98	14
4 4 0	61.76	22
4 4 2	82.98	25